Record 1
NaBeGaBr4: theoretical powder diffractogram (λ = 1.5418 Å (Cu Kα)), based on a crystal structure in Alexandria, relaxed with PBE.
Intensities are scaled so that the largest is 100.

Structural model:
Unit cell a=6.956 b=7.200 c=8.379 alpha=90.00 beta=107.63 gamma=90.00
Space group P2_1/m (No. 11)
Unique sites:
Na (0.235, 0.250, 0.059)
Be (0.231, 0.750, 0.808)
Ga (0.251, 0.250, 0.584)
Br (0.024, 0.508, 0.758)
Br (0.410, 0.750, 0.073)
Br (0.415, 0.750, 0.639)

Most intense lines, 10 to 90 degrees two-theta, by intensity:
| two_theta | I (rel.) | h k l |
| --- | --- | --- |
| 29.4 | 100 | 1 0 2 |
| 33.5 | 91 | 1 2 -2 |
| 28.2 | 90 | 1 2 0 |
| 31.9 | 47 | 2 1 -2 |
| 59.7 | 26 | 1 4 2 |
| 42.8 | 25 | 3 1 0 |
| 52.4 | 23 | 0 2 4 |
| 43.2 | 21 | 1 0 -4 |
| 29.7 | 19 | 2 1 0 |
| 50.7 | 17 | 0 4 0 |

---

Record 2
Cu5GePd6: theoretical powder diffractogram (λ = 1.5418 Å (Cu Kα)), based on a crystal structure in Alexandria, relaxed with PBE.
Intensities are scaled so that the largest is 100.

Structural model:
Unit cell a=4.307 b=12.889 c=6.007 alpha=90.00 beta=90.00 gamma=90.00
Space group Cmmm (No. 65)
Unique sites:
Cu (0.000, 0.000, 0.000)
Cu (0.000, 0.326, 0.500)
Cu (0.000, 0.331, 0.000)
Ge (0.000, 0.000, 0.500)
Pd (0.000, 0.162, 0.251)
Pd (0.000, 0.500, 0.256)

Most intense lines, 10 to 90 degrees two-theta, by intensity:
| two_theta | I (rel.) | h k l |
| --- | --- | --- |
| 42.3 | 100 | 1 3 2 |
| 42.0 | 26 | 2 0 0 |
| 42.1 | 25 | 0 6 0 |
| 60.9 | 16 | 2 6 0 |
| 76.9 | 16 | 3 3 2 |
| 77.5 | 15 | 2 0 4 |
| 77.0 | 15 | 1 9 2 |
| 61.8 | 8 | 0 0 4 |
| 29.4 | 6 | 1 3 0 |
| 29.7 | 3 | 0 0 2 |

---

Record 3
LiHf2V2: theoretical powder diffractogram (λ = 1.5418 Å (Cu Kα)), based on a crystal structure in Alexandria, relaxed with PBE.
Intensities are scaled so that the largest is 100.

Structural model:
Unit cell a=6.922 b=6.922 c=3.755 alpha=90.00 beta=90.00 gamma=90.00
Space group P4/mbm (No. 127)
Unique sites:
Li (0.000, 0.000, 0.000)
Hf (0.169, 0.331, 0.500)
V (0.123, 0.623, 0.000)

Most intense lines, 10 to 90 degrees two-theta, by intensity:
| two_theta | I (rel.) | h k l |
| --- | --- | --- |
| 37.7 | 100 | 2 1 1 |
| 28.8 | 33 | 2 1 0 |
| 18.1 | 25 | 1 1 0 |
| 23.7 | 22 | 0 0 1 |
| 35.3 | 20 | 2 0 1 |
| 25.7 | 19 | 2 0 0 |
| 41.2 | 18 | 3 1 0 |
| 60.4 | 17 | 4 1 1 |
| 54.7 | 12 | 4 1 0 |
| 48.5 | 11 | 0 0 2 |

---

Record 4
RbCaTlSiTeF: theoretical powder diffractogram (λ = 1.5418 Å (Cu Kα)), based on a crystal structure in Alexandria, relaxed with PBE.
Intensities are scaled so that the largest is 100.

Structural model:
Unit cell a=11.904 b=4.642 c=8.549 alpha=90.00 beta=117.40 gamma=90.00
Space group Cm (No. 8)
Unique sites:
Rb (0.000, 0.000, 0.000)
Ca (0.167, 0.500, 0.459)
Tl (0.364, 0.000, 0.456)
Si (0.490, 0.500, 0.457)
Te (0.199, 0.000, 0.751)
F (0.096, 0.500, 0.182)

Most intense lines, 10 to 90 degrees two-theta, by intensity:
| two_theta | I (rel.) | h k l |
| --- | --- | --- |
| 32.0 | 100 | 3 1 -2 |
| 25.9 | 91 | 1 1 1 |
| 21.7 | 72 | 2 0 -2 |
| 11.7 | 64 | 0 0 1 |
| 20.9 | 56 | 1 1 0 |
| 24.6 | 47 | 2 0 1 |
| 29.6 | 41 | 3 1 -1 |
| 37.9 | 40 | 1 1 -3 |
| 30.3 | 39 | 4 0 -1 |
| 38.8 | 31 | 0 2 0 |

---

Record 5
CaLa2Pm2: theoretical powder diffractogram (λ = 1.5418 Å (Cu Kα)), based on a crystal structure in Alexandria, relaxed with PBE.
Intensities are scaled so that the largest is 100.

Structural model:
Unit cell a=5.881 b=3.603 c=9.247 alpha=90.00 beta=108.42 gamma=90.00
Space group P2/m (No. 10)
Unique sites:
Ca (0.000, 0.000, 0.000)
La (0.208, 0.000, 0.414)
Pm (0.390, 0.500, 0.782)

Most intense lines, 10 to 90 degrees two-theta, by intensity:
| two_theta | I (rel.) | h k l |
| --- | --- | --- |
| 29.6 | 100 | 1 0 -3 |
| 29.5 | 68 | 1 1 -1 |
| 30.4 | 50 | 2 0 -1 |
| 32.1 | 49 | 0 1 2 |
| 32.9 | 37 | 1 1 1 |
| 44.8 | 36 | 2 1 1 |
| 10.1 | 29 | 0 0 1 |
| 59.8 | 28 | 1 2 -3 |
| 55.9 | 25 | 1 1 4 |
| 53.5 | 23 | 3 0 1 |

---

Record 6
Pu2P4Ru5: theoretical powder diffractogram (λ = 1.5418 Å (Cu Kα)), based on a crystal structure in Alexandria, relaxed with PBE.
Intensities are scaled so that the largest is 100.

Structural model:
Unit cell a=5.590 b=9.794 c=13.403 alpha=90.00 beta=90.00 gamma=90.00
Space group Fmmm (No. 69)
Unique sites:
Pu (0.000, 0.000, 0.125)
P (0.000, 0.157, 0.369)
Ru (0.000, 0.000, 0.500)
Ru (0.250, 0.250, 0.000)
Ru (0.250, 0.250, 0.250)

Most intense lines, 10 to 90 degrees two-theta, by intensity:
| two_theta | I (rel.) | h k l |
| --- | --- | --- |
| 32.4 | 100 | 0 2 4 |
| 37.0 | 85 | 2 2 0 |
| 27.1 | 62 | 1 1 3 |
| 42.1 | 54 | 2 0 4 |
| 37.7 | 51 | 1 3 3 |
| 36.7 | 40 | 0 4 0 |
| 68.0 | 29 | 2 2 8 |
| 19.4 | 28 | 1 1 1 |
| 38.4 | 27 | 1 1 5 |
| 57.1 | 27 | 2 4 4 |

---

Record 7
Tm4Th2Sc: theoretical powder diffractogram (λ = 1.5418 Å (Cu Kα)), based on a crystal structure in Alexandria, relaxed with PBE.
Intensities are scaled so that the largest is 100.

Structural model:
Unit cell a=11.703 b=6.793 c=6.777 alpha=90.00 beta=124.61 gamma=90.00
Space group C2/m (No. 12)
Unique sites:
Tm (0.202, 0.000, 0.483)
Tm (0.215, 0.000, 0.965)
Th (0.000, 0.281, 0.000)
Sc (0.000, 0.500, 0.500)

Most intense lines, 10 to 90 degrees two-theta, by intensity:
| two_theta | I (rel.) | h k l |
| --- | --- | --- |
| 32.3 | 100 | 2 2 0 |
| 37.5 | 77 | 2 2 -2 |
| 30.8 | 76 | 3 1 0 |
| 32.1 | 71 | 0 0 2 |
| 31.0 | 67 | 4 0 -1 |
| 32.5 | 52 | 4 0 -2 |
| 15.9 | 47 | 0 0 1 |
| 16.1 | 39 | 2 0 -1 |
| 64.2 | 34 | 2 2 -4 |
| 56.9 | 26 | 7 1 -2 |

---

Record 8
LuMg4Ti: theoretical powder diffractogram (λ = 1.5418 Å (Cu Kα)), based on a crystal structure in Alexandria, relaxed with PBE.
Intensities are scaled so that the largest is 100.

Structural model:
Unit cell a=8.196 b=8.196 c=8.196 alpha=90.00 beta=90.00 gamma=90.00
Space group F-43m (No. 216)
Unique sites:
Lu (0.000, 0.000, 0.000)
Mg (0.124, 0.124, 0.376)
Ti (0.250, 0.250, 0.750)

Most intense lines, 10 to 90 degrees two-theta, by intensity:
| two_theta | I (rel.) | h k l |
| --- | --- | --- |
| 36.4 | 100 | 3 1 1 |
| 30.9 | 74 | 2 2 0 |
| 18.8 | 62 | 1 1 1 |
| 58.5 | 33 | 5 1 1 |
| 54.9 | 29 | 4 2 2 |
| 21.7 | 28 | 2 0 0 |
| 64.3 | 19 | 4 4 0 |
| 48.4 | 17 | 3 3 1 |
| 38.0 | 15 | 2 2 2 |
| 89.5 | 15 | 6 4 2 |

---

Record 9
Sr2FeTe: theoretical powder diffractogram (λ = 1.5418 Å (Cu Kα)), based on a crystal structure in Alexandria, relaxed with PBE.
Intensities are scaled so that the largest is 100.

Structural model:
Unit cell a=4.498 b=4.556 c=12.255 alpha=90.00 beta=90.00 gamma=90.00
Space group Amm2 (No. 38)
Unique sites:
Sr (0.000, 0.000, 0.000)
Sr (0.500, 0.000, 0.287)
Fe (0.000, 0.000, 0.719)
Te (0.500, 0.000, 0.581)

Most intense lines, 10 to 90 degrees two-theta, by intensity:
| two_theta | I (rel.) | h k l |
| --- | --- | --- |
| 28.8 | 100 | 1 1 1 |
| 35.6 | 72 | 1 1 3 |
| 29.4 | 49 | 0 1 3 |
| 35.4 | 40 | 1 0 4 |
| 39.6 | 28 | 0 2 0 |
| 40.1 | 27 | 2 0 0 |
| 54.2 | 23 | 1 2 4 |
| 14.5 | 22 | 0 0 2 |
| 50.5 | 21 | 2 1 3 |
| 56.3 | 19 | 0 1 7 |

---

Record 10
Li2Zn2Ag5: theoretical powder diffractogram (λ = 1.5418 Å (Cu Kα)), based on a crystal structure in Alexandria, relaxed with PBE.
Intensities are scaled so that the largest is 100.

Structural model:
Unit cell a=4.280 b=5.723 c=6.711 alpha=102.58 beta=91.58 gamma=111.93
Space group P-1 (No. 2)
Unique sites:
Li (0.169, 0.340, 0.013)
Zn (0.393, 0.777, 0.332)
Ag (0.049, 0.085, 0.315)
Ag (0.265, 0.536, 0.666)
Ag (0.500, 0.000, 0.000)

Most intense lines, 10 to 90 degrees two-theta, by intensity:
| two_theta | I (rel.) | h k l |
| --- | --- | --- |
| 38.9 | 100 | 1 1 -2 |
| 38.4 | 99 | -1 2 1 |
| 39.1 | 96 | 1 1 1 |
| 39.6 | 95 | 1 -2 2 |
| 41.7 | 80 | 0 0 3 |
| 42.2 | 79 | 2 -1 0 |
| 13.6 | 58 | 0 0 1 |
| 51.7 | 39 | 0 3 -1 |
| 68.9 | 32 | 2 2 -1 |
| 19.2 | 30 | 0 1 -1 |

---

Record 11
SmMg4Si2: theoretical powder diffractogram (λ = 1.5418 Å (Cu Kα)), based on a crystal structure in Alexandria, relaxed with PBE.
Intensities are scaled so that the largest is 100.

Structural model:
Unit cell a=4.270 b=16.298 c=4.257 alpha=90.00 beta=90.00 gamma=90.00
Space group Cmmm (No. 65)
Unique sites:
Sm (0.000, 0.000, 0.000)
Mg (0.000, 0.175, 0.500)
Mg (0.000, 0.323, 0.000)
Si (0.000, 0.428, 0.500)

Most intense lines, 10 to 90 degrees two-theta, by intensity:
| two_theta | I (rel.) | h k l |
| --- | --- | --- |
| 34.0 | 100 | 1 3 1 |
| 10.9 | 80 | 0 2 0 |
| 30.1 | 48 | 1 1 1 |
| 30.4 | 27 | 0 4 1 |
| 26.6 | 26 | 1 3 0 |
| 34.6 | 23 | 1 5 0 |
| 23.6 | 23 | 0 2 1 |
| 21.5 | 21 | 1 1 0 |
| 39.3 | 19 | 0 6 1 |
| 42.3 | 19 | 2 0 0 |

---

Record 12
Tb6HgRu: theoretical powder diffractogram (λ = 1.5418 Å (Cu Kα)), based on a crystal structure in Alexandria, relaxed with PBE.
Intensities are scaled so that the largest is 100.

Structural model:
Unit cell a=5.095 b=5.095 c=17.156 alpha=90.00 beta=90.00 gamma=90.00
Space group I4/mmm (No. 139)
Unique sites:
Tb (0.000, 0.000, 0.248)
Tb (0.000, 0.500, 0.100)
Hg (0.000, 0.000, 0.500)
Ru (0.000, 0.000, 0.000)

Most intense lines, 10 to 90 degrees two-theta, by intensity:
| two_theta | I (rel.) | h k l |
| --- | --- | --- |
| 32.5 | 100 | 1 1 4 |
| 35.2 | 49 | 2 0 0 |
| 61.5 | 32 | 3 1 4 |
| 50.7 | 18 | 2 2 0 |
| 56.1 | 11 | 2 0 8 |
| 40.3 | 11 | 1 1 6 |
| 10.3 | 9 | 0 0 2 |
| 85.2 | 8 | 4 2 0 |
| 47.8 | 7 | 2 0 6 |
| 83.6 | 7 | 3 3 4 |

---

Record 13
Tb2Ge3Ir3: theoretical powder diffractogram (λ = 1.5418 Å (Cu Kα)), based on a crystal structure in Alexandria, relaxed with PBE.
Intensities are scaled so that the largest is 100.

Structural model:
Unit cell a=2.857 b=2.857 c=20.681 alpha=90.00 beta=90.00 gamma=90.00
Space group P4/mmm (No. 123)
Unique sites:
Tb (0.000, 0.000, 0.242)
Ge (0.000, 0.000, 0.000)
Ge (0.000, 0.000, 0.384)
Ir (0.000, 0.000, 0.116)
Ir (0.000, 0.000, 0.500)

Most intense lines, 10 to 90 degrees two-theta, by intensity:
| two_theta | I (rel.) | h k l |
| --- | --- | --- |
| 31.3 | 100 | 1 0 0 |
| 47.4 | 55 | 1 0 8 |
| 44.9 | 37 | 1 1 0 |
| 34.7 | 33 | 0 0 8 |
| 57.9 | 30 | 1 1 8 |
| 12.8 | 27 | 0 0 3 |
| 84.6 | 21 | 2 1 8 |
| 74.2 | 17 | 2 1 0 |
| 76.1 | 14 | 2 0 8 |
| 65.3 | 12 | 2 0 0 |

---

Record 14
CsPrCoBr6: theoretical powder diffractogram (λ = 1.5418 Å (Cu Kα)), based on a crystal structure in Alexandria, relaxed with PBE.
Intensities are scaled so that the largest is 100.

Structural model:
Unit cell a=7.256 b=12.595 c=8.100 alpha=90.00 beta=90.25 gamma=90.00
Space group C2 (No. 5)
Unique sites:
Cs (0.000, 0.000, 0.000)
Pr (0.000, 0.666, 0.500)
Co (0.000, 0.333, 0.500)
Br (0.119, 0.485, 0.699)
Br (0.163, 0.195, 0.694)
Br (0.210, 0.821, 0.695)

Most intense lines, 10 to 90 degrees two-theta, by intensity:
| two_theta | I (rel.) | h k l |
| --- | --- | --- |
| 17.9 | 100 | 0 2 1 |
| 33.1 | 96 | 1 3 2 |
| 26.9 | 60 | 2 0 -1 |
| 10.9 | 42 | 0 0 1 |
| 39.5 | 35 | 3 1 -1 |
| 43.1 | 35 | 0 6 0 |
| 51.6 | 17 | 1 3 -4 |
| 44.2 | 16 | 2 2 -3 |
| 30.5 | 16 | 0 4 1 |
| 55.4 | 14 | 2 6 -2 |